Computed powder diffraction line list of Sr4LaMn5O15 for Cu Kα (weighted mean of Kα1 and Kα2), from a cell relaxed with GGA+U.
Neutral-atom scattering factors, no anomalous dispersion.

Cell and atoms:
```
data_Sr4LaMn5O15
_chemical_formula_sum 'Sr16 La4 Mn20 O60'
_space_group_name_H-M_alt 'C 1 m 1'
_space_group_IT_number 8
_space_group_name_Hall 'C -2y'
_cell_length_a 18.161
_cell_length_b 5.458
_cell_length_c 13.437
_cell_angle_alpha 90.00
_cell_angle_beta 118.58
_cell_angle_gamma 90.00
loop_
_atom_site_label
_atom_site_fract_x
_atom_site_fract_y
_atom_site_fract_z
_atom_site_occupancy
Sr1 0.000 0.000 0.000 1
Sr2 0.000 0.000 0.499 1
Sr3 0.099 0.500 0.397 1
Sr4 0.100 0.500 0.898 1
Sr5 0.198 0.000 0.298 1
Sr6 0.199 0.000 0.798 1
Sr7 0.400 0.000 0.099 1
Sr8 0.401 0.000 0.599 1
La1 0.299 0.500 0.198 1
La2 0.300 0.500 0.699 1
Mn1 0.000 0.000 0.249 1
Mn2 0.000 0.000 0.749 1
Mn3 0.098 0.500 0.147 1
Mn4 0.099 0.500 0.648 1
Mn5 0.199 0.000 0.048 1
Mn6 0.199 0.000 0.548 1
Mn7 0.299 0.500 0.448 1
Mn8 0.300 0.500 0.948 1
Mn9 0.400 0.000 0.849 1
Mn10 0.401 0.000 0.350 1
O1 0.003 0.500 0.001 1
O2 0.049 0.249 0.699 1
O3 0.050 0.249 0.200 1
O4 0.097 0.000 0.397 1
O5 0.098 0.000 0.899 1
O6 0.154 0.253 0.602 1
O7 0.155 0.254 0.103 1
O8 0.205 0.500 0.302 1
O9 0.205 0.500 0.803 1
O10 0.251 0.254 0.002 1
O11 0.251 0.254 0.503 1
O12 0.296 0.000 0.193 1
O13 0.298 0.000 0.695 1
O14 0.348 0.255 0.394 1
O15 0.349 0.254 0.896 1
O16 0.398 0.500 0.601 1
O17 0.399 0.500 0.102 1
O18 0.445 0.254 0.294 1
O19 0.446 0.255 0.795 1
O20 0.498 0.000 0.493 1
```

Principal peaks in the range 10 to 90 degrees two-theta, by angle:
| h k l | 2θ/deg | I (rel.) |
| --- | --- | --- |
| 5 1 0 | 32.53 | 100 |
| 0 2 0 | 32.83 | 49 |
| 2 2 2 | 40.24 | 24 |
| 4 0 4 | 46.21 | 19 |
| 6 2 -4 | 47.11 | 36 |
| 10 0 0 | 57.84 | 19 |
| 5 3 0 | 58.42 | 37 |
| 2 2 -8 | 68.13 | 21 |
| 0 4 0 | 68.83 | 10 |
| 9 1 4 | 76.87 | 8 |